1.
Theoretical powder X-ray diffraction pattern of Ce4In8Ni7 for CuKα, from the GGA-PBE geometry in the Materials Project.
Lines closer than 0.1° are merged.

Largest 10 diffraction maxima, low angle first, 15° ≤ 2θ ≤ 90°:
d_spacing	2θ/deg	intensity
2.958	30.21	26.6
2.739	32.70	35.5
2.693	33.27	100.0
2.536	35.39	16.9
2.480	36.23	16.1
2.414	37.24	35.5
2.205	40.94	48.9
2.162	41.78	17.0
2.103	43.00	12.9
1.443	64.59	14.2

Atomic structure:
Cell lengths 13.992, 13.992, 4.409 Å; angles 90.00, 90.00, 117.57 degrees
Sites, in units of the cell vectors:
Ce 0.104 0.896 0.000
Ce 0.153 0.503 0.500
Ce 0.309 0.309 0.500
Ce 0.497 0.847 0.500
Ce 0.503 0.153 0.500
Ce 0.691 0.691 0.500
Ce 0.847 0.497 0.500
Ce 0.896 0.104 0.000
In 0.000 0.000 0.500
In 0.058 0.622 0.000
In 0.130 0.319 0.000
In 0.221 0.779 0.500
In 0.309 0.691 0.000
In 0.319 0.130 0.000
In 0.378 0.942 0.000
In 0.415 0.585 0.500
In 0.500 0.500 0.000
In 0.585 0.415 0.500
In 0.622 0.058 0.000
In 0.681 0.870 0.000
In 0.691 0.309 0.000
In 0.779 0.221 0.500
In 0.870 0.681 0.000
In 0.942 0.378 0.000
Ni 0.010 0.701 0.500
Ni 0.097 0.204 0.500
Ni 0.117 0.117 0.000
Ni 0.204 0.097 0.500
Ni 0.299 0.990 0.500
Ni 0.306 0.499 0.000
Ni 0.499 0.306 0.000
Ni 0.501 0.694 0.000
Ni 0.694 0.501 0.000
Ni 0.701 0.010 0.500
Ni 0.796 0.903 0.500
Ni 0.883 0.883 0.000
Ni 0.903 0.796 0.500
Ni 0.990 0.299 0.500

***

2.
Theoretical powder X-ray diffraction pattern of CeIn6Ni3 for CuKα, from the GGA-PBE geometry in the Materials Project.
Lines closer than 0.1° are merged.

Largest 10 diffraction maxima, low angle first, 15° ≤ 2θ ≤ 90°:
d_spacing	2θ/deg	intensity
2.819	31.75	100.0
2.760	32.44	25.3
2.751	32.54	49.6
2.462	36.49	60.8
2.351	38.29	26.7
2.269	39.73	15.6
2.206	40.92	55.4
2.182	41.39	49.3
1.477	62.93	20.4
1.365	68.77	21.4

Atomic structure:
Cell lengths 4.411, 7.705, 11.871 Å; angles 90.00, 90.00, 90.00 degrees
Sites, in units of the cell vectors:
Ce 0.250 0.250 0.176
Ce 0.750 0.750 0.824
In 0.250 0.050 0.916
In 0.250 0.250 0.488
In 0.250 0.450 0.916
In 0.250 0.550 0.664
In 0.250 0.750 0.249
In 0.250 0.950 0.664
In 0.750 0.050 0.336
In 0.750 0.250 0.751
In 0.750 0.450 0.336
In 0.750 0.550 0.084
In 0.750 0.750 0.512
In 0.750 0.950 0.084
Ni 0.250 0.574 0.435
Ni 0.250 0.750 0.030
Ni 0.250 0.926 0.435
Ni 0.750 0.074 0.565
Ni 0.750 0.250 0.970
Ni 0.750 0.426 0.565

***

3.
Theoretical powder X-ray diffraction pattern of Ce2InNi2 for CuKα, from the GGA-PBE geometry in the Materials Project.
Lines closer than 0.1° are merged.

Largest 10 diffraction maxima, low angle first, 15° ≤ 2θ ≤ 90°:
d_spacing	2θ/deg	intensity
3.368	26.46	15.5
2.663	33.66	15.5
2.624	34.17	51.9
2.478	36.25	100.0
2.382	37.77	49.2
1.828	49.88	28.2
1.634	56.29	17.6
1.597	57.72	15.7
1.451	64.20	19.9
1.370	68.51	12.2

Atomic structure:
Cell lengths 7.531, 7.531, 3.659 Å; angles 90.00, 90.00, 90.00 degrees
Sites, in units of the cell vectors:
Ce 0.174 0.326 0.000
Ce 0.326 0.826 0.000
Ce 0.674 0.174 0.000
Ce 0.826 0.674 0.000
In 0.000 0.000 0.500
In 0.500 0.500 0.500
Ni 0.125 0.625 0.500
Ni 0.375 0.125 0.500
Ni 0.625 0.875 0.500
Ni 0.875 0.375 0.500

***

4.
Theoretical powder X-ray diffraction pattern of CeIn4Pd for CuKα, from the GGA-PBE geometry in the Materials Project.
Lines closer than 0.1° are merged.

Largest 10 diffraction maxima, low angle first, 15° ≤ 2θ ≤ 90°:
d_spacing	2θ/deg	intensity
2.835	31.56	100.0
2.750	32.56	45.3
2.660	33.70	24.6
2.576	34.83	34.0
2.309	39.01	39.8
2.253	40.01	32.8
2.146	42.10	12.7
1.837	49.64	12.6
1.743	52.49	13.7
1.613	57.12	23.2

Atomic structure:
Cell lengths 8.866, 8.866, 7.347 Å; angles 90.00, 90.00, 149.81 degrees
Sites, in units of the cell vectors:
Ce 0.118 0.882 0.750
Ce 0.882 0.118 0.250
In 0.068 0.932 0.250
In 0.317 0.683 0.546
In 0.317 0.683 0.954
In 0.500 0.500 0.000
In 0.500 0.500 0.500
In 0.683 0.317 0.046
In 0.683 0.317 0.454
In 0.932 0.068 0.750
Pd 0.224 0.776 0.250
Pd 0.776 0.224 0.750

***

5.
Theoretical powder X-ray diffraction pattern of Ce2InPd2 for CuKα, from the GGA-PBE geometry in the Materials Project.
Lines closer than 0.1° are merged.

Largest 10 diffraction maxima, low angle first, 15° ≤ 2θ ≤ 90°:
d_spacing	2θ/deg	intensity
2.767	32.36	10.7
2.728	32.83	32.6
2.576	34.82	100.0
2.475	36.30	44.1
1.903	47.79	14.8
1.698	53.99	14.1
1.509	61.46	18.5
1.423	65.59	10.4
1.358	69.20	11.5
1.193	80.52	8.7

Atomic structure:
Cell lengths 7.825, 7.825, 3.807 Å; angles 90.00, 90.00, 90.00 degrees
Sites, in units of the cell vectors:
Ce 0.175 0.325 0.000
Ce 0.325 0.825 0.000
Ce 0.675 0.175 0.000
Ce 0.825 0.675 0.000
In 0.000 0.000 0.500
In 0.500 0.500 0.500
Pd 0.129 0.629 0.500
Pd 0.371 0.129 0.500
Pd 0.629 0.871 0.500
Pd 0.871 0.371 0.500

***

6.
Theoretical powder X-ray diffraction pattern of Ce8InPd24 for CuKα, from the GGA-PBE geometry in the Materials Project.
Lines closer than 0.1° are merged.

Largest 10 diffraction maxima, low angle first, 15° ≤ 2θ ≤ 90°:
d_spacing	2θ/deg	intensity
3.006	29.72	6.0
2.454	36.61	100.0
2.358	38.16	7.1
2.126	42.53	55.0
2.062	43.91	6.3
1.503	61.72	30.9
1.282	73.95	29.3
1.267	74.93	3.9
1.227	77.83	8.8
1.215	78.80	4.5

Atomic structure:
Cell lengths 8.502, 8.502, 8.502 Å; angles 90.00, 90.00, 90.00 degrees
Sites, in units of the cell vectors:
Ce 0.249 0.249 0.249
Ce 0.249 0.249 0.751
Ce 0.249 0.751 0.249
Ce 0.249 0.751 0.751
Ce 0.751 0.249 0.249
Ce 0.751 0.249 0.751
Ce 0.751 0.751 0.249
Ce 0.751 0.751 0.751
In 0.000 0.000 0.000
Pd 0.000 0.000 0.314
Pd 0.000 0.000 0.686
Pd 0.000 0.266 0.500
Pd 0.000 0.314 0.000
Pd 0.000 0.500 0.266
Pd 0.000 0.500 0.734
Pd 0.000 0.686 0.000
Pd 0.000 0.734 0.500
Pd 0.255 0.500 0.500
Pd 0.266 0.000 0.500
Pd 0.266 0.500 0.000
Pd 0.314 0.000 0.000
Pd 0.500 0.000 0.266
Pd 0.500 0.000 0.734
Pd 0.500 0.255 0.500
Pd 0.500 0.266 0.000
Pd 0.500 0.500 0.255
Pd 0.500 0.500 0.745
Pd 0.500 0.734 0.000
Pd 0.500 0.745 0.500
Pd 0.686 0.000 0.000
Pd 0.734 0.000 0.500
Pd 0.734 0.500 0.000
Pd 0.745 0.500 0.500